[1]
Structure and calculated X-ray powder pattern of NpP2IrRu2 (a cell relaxed with PBE; λ = 1.5418 Å (Cu Kα)).
Peak positions follow from Bragg's law for the DFT cell and can differ from measured ones.

Principal peaks in the range 5° ≤ 2θ ≤ 70°, sorted by position:
| two_theta | Rel. int. | hkl |
| --- | --- | --- |
| 29.29 | 38 | 1 1 1 |
| 35.99 | 100 | 1 2 1 |
| 36.53 | 64 | 1 0 2 |
| 37.22 | 32 | 0 2 2 |
| 38.51 | 71 | 1 1 2 |
| 38.66 | 53 | 0 3 1 |
| 44.77 | 32 | 0 1 3 |
| 46.20 | 54 | 2 0 0 |

Atomic structure:
Lattice parameters (Å, degrees): 3.9312 7.5183 6.3053 90.00 90.00 90.00
Space group Pmc2_1 (No. 26)
Inequivalent atoms, fractional coordinates:
Np 0.0000 0.0675 0.0000 [2 per cell]
P 0.0000 0.3840 0.7518 [2 per cell]
P 0.5000 0.1779 0.2940 [2 per cell]
Ir 0.5000 0.2199 0.6743 [2 per cell]
Ru 0.0000 0.3388 0.3831 [2 per cell]
Ru 0.5000 0.4182 0.0658 [2 per cell]

***

[2]
Structure and calculated X-ray powder pattern of ThNp2TcC4 (a cell relaxed with PBE; λ = 1.5418 Å (Cu Kα)).
Peak positions follow from Bragg's law for the DFT cell and can differ from measured ones.

Principal peaks in the range 5° ≤ 2θ ≤ 70°, sorted by position:
| two_theta | Rel. int. | hkl |
| --- | --- | --- |
| 27.73 | 56 | 0 2 3 |
| 30.24 | 100 | 1 1 2 |
| 30.73 | 54 | 0 4 0 |
| 30.87 | 28 | 0 0 4 |
| 34.91 | 29 | 1 3 1 |
| 37.47 | 65 | 1 3 2 |
| 49.22 | 27 | 1 5 2 |
| 52.55 | 29 | 1 3 5 |

Atomic structure:
Lattice parameters (Å, degrees): 3.5961 11.6367 11.5855 90.00 90.00 90.00
Space group Cmcm (No. 63)
Inequivalent atoms, fractional coordinates:
Th 0.0000 0.1128 0.2500 [4 per cell]
Np 0.0000 0.3730 0.0447 [8 per cell]
Tc 0.0000 0.1473 0.7500 [4 per cell]
C 0.0000 0.0000 0.0000 [4 per cell]
C 0.0000 0.2586 0.6183 [8 per cell]
C 0.0000 0.4468 0.2500 [4 per cell]

***

[3]
Structure and calculated X-ray powder pattern of K7Sc (a cell relaxed with PBE; λ = 1.5418 Å (Cu Kα)).
Peak positions follow from Bragg's law for the DFT cell and can differ from measured ones.

Principal peaks in the range 5° ≤ 2θ ≤ 70°, sorted by position:
| two_theta | Rel. int. | hkl |
| --- | --- | --- |
| 24.60 | 100 | 2 2 2 |
| 28.48 | 51 | 4 0 0 |
| 40.72 | 35 | 4 4 0 |
| 48.15 | 40 | 6 2 2 |
| 50.44 | 12 | 4 4 4 |
| 58.95 | 5 | 8 0 0 |
| 64.85 | 15 | 6 6 2 |
| 66.75 | 13 | 8 4 0 |

Atomic structure:
Lattice parameters (Å, degrees): 12.5346 12.5346 12.5346 90.00 90.00 90.00
Space group Fm-3m (No. 225)
Inequivalent atoms, fractional coordinates:
K 0.0000 0.0000 0.0000 [4 per cell]
K 0.0000 0.2500 0.2500 [24 per cell]
Sc 0.0000 0.0000 0.5000 [4 per cell]